Record 1
Structure and calculated X-ray powder pattern of Ba2Ce2Ti2FeSi8O26 (a crystal structure in the Materials Project, relaxed with PBE+U; Cu Kα, 1.54184 Å).
Neutral-atom scattering factors, no anomalous dispersion.

The 8 most intense peaks (10° ≤ 2θ ≤ 90°), in order of rising 2θ:
2θ 19.47, intensity 62; 2θ 19.63, intensity 100; 2θ 26.64, intensity 60; 2θ 28.24, intensity 80; 2θ 30.08, intensity 67; 2θ 30.64, intensity 67; 2θ 33.88, intensity 37; 2θ 39.50, intensity 39

Atomic structure:
```
Ba2Ce2Ti2FeSi8O26
1.0
5.3323 -4.9473 0.0000
5.3323 4.9473 0.0000
-3.8977 0.0000 11.1487
Ba Ce Ti Fe Si O
2 2 2 1 8 26
Cartesian
0.7133 0.0000 5.5609
6.0535 0.0000 5.5878
3.2413 2.4324 0.5143
3.5255 2.4324 10.6345
3.3810 2.4795 4.1512
3.3858 2.4795 6.9976
5.3323 -1.4386 0.0000
-1.9015 0.5088 8.7608
0.3319 2.4388 8.2985
3.3966 -0.5178 2.4151
6.4349 2.4388 2.8502
1.1289 -2.4635 8.2354
3.3702 -0.5178 8.7337
8.6682 0.5088 2.3880
5.6378 -2.4635 2.9133
3.3810 3.8423 2.5975
1.3881 2.4424 4.1223
-1.7584 0.9824 10.2838
-0.6055 1.1133 7.8848
1.4188 2.4705 7.0858
3.3834 3.7700 5.5744
0.8782 2.4224 9.8181
3.3858 3.8423 8.5513
3.3498 1.0941 2.5807
5.8886 2.4224 1.3306
3.3834 1.1773 5.5744
5.3479 2.4705 4.0630
2.0451 -1.1547 3.1329
3.5418 -0.9599 0.8568
5.3786 2.4424 7.0264
3.4170 1.0941 8.5680
2.0703 -1.1258 7.8863
0.4690 -2.3283 9.6954
4.6964 -1.1258 3.2624
7.3723 1.1133 3.2639
8.5251 0.9824 0.8649
3.2250 -0.9599 10.2919
4.7216 -1.1548 8.0159
2.0618 -3.8179 8.0201
6.2978 -2.3283 1.4533
4.7049 -3.8179 3.1287
```

***

Record 2
Structure and calculated X-ray powder pattern of KBaCeMnO6 (a crystal structure in the Materials Project, relaxed with PBE+U; Cu Kα, 1.54184 Å).
Neutral-atom scattering factors, no anomalous dispersion.

The 8 most intense peaks (10° ≤ 2θ ≤ 90°), in order of rising 2θ:
2θ 18.39, intensity 25; 2θ 30.26, intensity 100; 2θ 35.64, intensity 18; 2θ 43.32, intensity 34; 2θ 53.75, intensity 39; 2θ 62.93, intensity 20; 2θ 71.40, intensity 17; 2θ 87.34, intensity 20

Atomic structure:
```
KBaCeMnO6
1.0
0.0000 4.1775 4.1775
4.1775 0.0000 4.1775
4.1775 4.1775 0.0000
K Ba Ce Mn O
1 1 1 1 6
Cartesian
0.0000 0.0000 0.0000
4.1775 4.1775 4.1775
2.0887 2.0887 2.0887
6.2662 6.2662 6.2662
6.2662 6.2662 4.3212
6.2662 4.3212 6.2662
8.2112 6.2662 6.2662
4.3212 6.2662 6.2662
6.2662 8.2112 6.2662
6.2662 6.2662 8.2112
```

***

Record 3
Structure and calculated X-ray powder pattern of BaSrCeNiO6 (a crystal structure in the Materials Project, relaxed with PBE+U; Cu Kα, 1.54184 Å).
Neutral-atom scattering factors, no anomalous dispersion.

The 8 most intense peaks (10° ≤ 2θ ≤ 90°), in order of rising 2θ:
2θ 18.72, intensity 8; 2θ 30.80, intensity 100; 2θ 36.28, intensity 7; 2θ 44.11, intensity 32; 2θ 54.76, intensity 39; 2θ 64.16, intensity 19; 2θ 72.85, intensity 18; 2θ 89.26, intensity 21

Atomic structure:
```
BaSrCeNiO6
1.0
0.0000 4.1058 4.1058
4.1058 0.0000 4.1058
4.1058 4.1058 0.0000
Ba Sr Ce Ni O
1 1 1 1 6
Cartesian
0.0000 0.0000 0.0000
4.1058 4.1058 4.1058
2.0529 2.0529 2.0529
6.1587 6.1587 6.1587
6.1587 6.1587 4.2526
6.1587 4.2526 6.1587
8.0648 6.1587 6.1587
4.2526 6.1587 6.1587
6.1587 8.0648 6.1587
6.1587 6.1587 8.0648
```

***

Record 4
Structure and calculated X-ray powder pattern of Ba2CeWO6 (a crystal structure in the Materials Project, relaxed with PBE+U; Cu Kα, 1.54184 Å).
Neutral-atom scattering factors, no anomalous dispersion.

The 8 most intense peaks (10° ≤ 2θ ≤ 90°), in order of rising 2θ:
2θ 20.59, intensity 3; 2θ 29.27, intensity 100; 2θ 41.88, intensity 29; 2θ 51.91, intensity 41; 2θ 60.71, intensity 18; 2θ 68.81, intensity 18; 2θ 76.48, intensity 6; 2θ 83.91, intensity 22

Atomic structure:
```
Ba2CeWO6
1.0
0.0000 4.3146 4.3146
4.3146 0.0000 4.3146
4.3146 4.3146 0.0000
Ba Ce W O
2 1 1 6
Cartesian
2.1573 2.1573 2.1573
6.4718 6.4718 6.4718
0.0000 0.0000 0.0000
4.3146 4.3146 4.3146
4.3146 4.3146 2.2679
4.3146 2.2679 4.3146
6.3612 4.3146 4.3146
2.2679 4.3146 4.3146
4.3146 6.3612 4.3146
4.3146 4.3146 6.3612
```